Theoretical PXRD pattern of Pr2Zn5Pb for Cu Kα (weighted mean of Kα1 and Kα2), from a cell relaxed with PBE.
Intensities are scaled so that the largest is 100.

Principal peaks in the range 10 to 80 degrees two-theta, by angle:
2theta	I_rel	h k l
27.16	21.8	1 3 1
28.20	54.1	1 1 2
32.07	100.0	1 3 2
33.28	47.7	1 5 0
33.56	21.5	0 6 1
35.82	24.7	1 1 3
37.72	26.2	0 6 2
39.24	22.0	0 0 4
39.84	47.6	2 0 0
43.91	36.0	0 6 3

Cell and atoms:
a b c (Å): 4.525 16.744 9.183
angles (deg): 90.00 90.00 90.00
Space group Cmcm (No. 63)
Asymmetric unit:
Pr 0.000 0.000 0.000 x4
Pr 0.000 0.205 0.250 x4
Zn 0.000 0.186 0.609 x8
Zn 0.000 0.342 0.515 x8
Zn 0.000 0.392 0.250 x4
Pb 0.000 0.446 0.750 x4

Theoretical PXRD pattern of PtPb4 for Cu Kα (weighted mean of Kα1 and Kα2), from a cell relaxed with PBE.
Intensities are scaled so that the largest is 100.

Principal peaks in the range 10 to 80 degrees two-theta, by angle:
2theta	I_rel	h k l
23.49	12.3	1 1 1
29.06	19.2	0 0 2
32.86	100.0	2 1 1
34.65	16.3	1 1 2
39.53	39.1	2 0 2
42.02	23.2	3 1 0
53.97	25.4	2 1 3
57.89	28.0	4 1 1
65.71	19.9	3 3 2
73.76	14.0	4 1 3

Cell and atoms:
a b c (Å): 6.800 6.800 6.145
angles (deg): 90.00 90.00 90.00
Space group P4/nbm (No. 125, origin choice 2)
Asymmetric unit:
Pt 0.250 0.250 0.000 x2
Pb 0.075 0.575 0.251 x8

Theoretical PXRD pattern of SiPt5Pb for Cu Kα (weighted mean of Kα1 and Kα2), from a cell relaxed with PBE.
Intensities are scaled so that the largest is 100.

Principal peaks in the range 10 to 80 degrees two-theta, by angle:
2theta	I_rel	h k l
33.76	57.8	1 1 1
36.94	30.5	0 0 3
40.14	100.0	1 1 2
44.98	48.9	2 0 0
59.56	31.2	2 0 3
65.50	16.2	2 2 0
72.78	21.7	1 1 5
75.76	11.7	3 1 1
77.65	14.7	2 2 3
79.68	28.2	3 1 2

Cell and atoms:
a b c (Å): 4.031 4.031 7.300
angles (deg): 90.00 90.00 90.00
Space group P4/mmm (No. 123)
Asymmetric unit:
Si 0.000 0.000 0.000 x1
Pt 0.000 0.000 0.500 x1
Pt 0.000 0.500 0.197 x4
Pb 0.500 0.500 0.500 x1

Theoretical PXRD pattern of TePtPb for Cu Kα (weighted mean of Kα1 and Kα2), from a cell relaxed with PBE.
Intensities are scaled so that the largest is 100.

Principal peaks in the range 10 to 80 degrees two-theta, by angle:
2theta	I_rel	h k l
26.44	30.0	2 0 0
29.63	98.7	2 1 0
32.53	67.8	2 1 1
37.74	30.3	2 2 0
44.57	100.0	3 1 1
48.69	17.9	3 0 2
50.66	40.7	3 1 2
63.19	22.5	4 2 1
72.90	28.4	3 3 3
76.01	20.2	5 0 2

Cell and atoms:
a b c (Å): 6.743 6.743 6.743
angles (deg): 90.00 90.00 90.00
Space group P2_13 (No. 198)
Asymmetric unit:
Te 0.130 0.370 0.630 x4
Pt 0.009 0.509 0.991 x4
Pb 0.130 0.130 0.130 x4

Theoretical PXRD pattern of TiPtPb for Cu Kα (weighted mean of Kα1 and Kα2), from a cell relaxed with PBE.
Intensities are scaled so that the largest is 100.

Principal peaks in the range 10 to 80 degrees two-theta, by angle:
2theta	I_rel	h k l
24.20	3.2	1 1 1
28.01	78.3	2 0 0
40.03	100.0	2 2 0
47.32	1.4	3 1 1
49.56	23.0	2 2 2
57.90	17.1	4 0 0
63.67	0.5	3 3 1
65.52	30.7	4 2 0
72.71	35.0	4 2 2

Cell and atoms:
a b c (Å): 6.371 6.371 6.371
angles (deg): 90.00 90.00 90.00
Space group F-43m (No. 216)
Asymmetric unit:
Ti 0.000 0.000 0.000 x4
Pt 0.250 0.250 0.250 x4
Pb 0.250 0.250 0.750 x4

Theoretical PXRD pattern of PuPb2 for Cu Kα (weighted mean of Kα1 and Kα2), from a cell relaxed with PBE.
Intensities are scaled so that the largest is 100.

Principal peaks in the range 10 to 80 degrees two-theta, by angle:
2theta	I_rel	h k l
31.84	100.0	1 1 6
35.94	17.5	0 0 12
37.43	33.2	2 0 0
52.86	23.8	2 0 12
53.96	11.9	2 2 0
62.04	13.8	1 1 18
64.04	28.3	3 1 6
66.55	12.1	2 2 12
76.19	2.0	0 0 24
79.83	4.0	4 0 0

Cell and atoms:
a b c (Å): 4.806 4.806 29.987
angles (deg): 90.00 90.00 90.00
Space group I4_1/amd (No. 141, origin choice 2)
Asymmetric unit:
Pu 0.000 0.250 0.296 x8
Pb 0.000 0.250 0.125 x8
Pb 0.000 0.250 0.788 x8

Theoretical PXRD pattern of Pu5Pb3 for Cu Kα (weighted mean of Kα1 and Kα2), from a cell relaxed with PBE.
Intensities are scaled so that the largest is 100.

Principal peaks in the range 10 to 80 degrees two-theta, by angle:
2theta	I_rel	h k l
29.99	44.0	0 0 2
32.26	45.6	4 2 0
33.36	100.0	4 1 1
36.47	26.6	2 2 2
42.04	19.8	5 2 1
51.75	10.8	4 4 2
55.45	16.5	4 1 3
61.64	12.3	8 2 0
62.33	24.1	0 0 4
71.96	11.8	4 2 4

Cell and atoms:
a b c (Å): 12.411 12.411 5.955
angles (deg): 90.00 90.00 90.00
Space group I4/mcm (No. 140)
Asymmetric unit:
Pu 0.000 0.500 0.250 x4
Pu 0.078 0.227 0.000 x16
Pb 0.000 0.000 0.250 x4
Pb 0.165 0.335 0.500 x8

Theoretical PXRD pattern of Rb3Pb for Cu Kα (weighted mean of Kα1 and Kα2), from a cell relaxed with PBE.
Intensities are scaled so that the largest is 100.

Principal peaks in the range 10 to 80 degrees two-theta, by angle:
2theta	I_rel	h k l
16.16	12.6	1 1 1
18.68	6.9	2 0 0
26.54	100.0	2 2 0
31.23	8.4	3 1 1
37.89	19.5	4 0 0
46.86	42.5	4 2 2
54.66	13.5	4 4 0
61.77	18.7	6 2 0
68.43	4.6	4 4 4
74.80	21.7	6 4 2

Cell and atoms:
a b c (Å): 9.498 9.498 9.498
angles (deg): 90.00 90.00 90.00
Space group Fm-3m (No. 225)
Asymmetric unit:
Rb 0.000 0.000 0.000 x4
Rb 0.250 0.250 0.250 x8
Pb 0.000 0.000 0.500 x4

Theoretical PXRD pattern of RePb3 for Cu Kα (weighted mean of Kα1 and Kα2), from a cell relaxed with PBE.
Intensities are scaled so that the largest is 100.

Principal peaks in the range 10 to 80 degrees two-theta, by angle:
2theta	I_rel	h k l
34.46	100.0	2 2 0
49.53	18.3	4 0 0
61.74	38.4	4 2 2
72.66	12.1	4 4 0

Cell and atoms:
a b c (Å): 7.361 7.361 7.361
angles (deg): 90.00 90.00 90.00
Space group Fm-3m (No. 225)
Asymmetric unit:
Re 0.000 0.000 0.000 x4
Pb 0.000 0.000 0.500 x4
Pb 0.250 0.250 0.250 x8

Theoretical PXRD pattern of Re3PbS6 for Cu Kα (weighted mean of Kα1 and Kα2), from a cell relaxed with PBE.
Intensities are scaled so that the largest is 100.

Principal peaks in the range 10 to 80 degrees two-theta, by angle:
2theta	I_rel	h k l
10.88	50.9	2 0 0
12.96	20.4	1 1 -1
13.07	100.0	1 1 1
14.92	17.7	0 0 2
18.36	23.8	0 2 0
20.11	14.6	3 1 -1
29.24	12.8	1 3 -1
32.30	20.6	2 0 4
38.95	11.2	6 2 1
39.92	11.9	3 3 3

Cell and atoms:
a b c (Å): 16.267 9.653 11.878
angles (deg): 90.00 91.04 90.00
Space group Cc (No. 9)
Asymmetric unit:
Re 0.000 0.103 0.000 x4
Re 0.000 0.183 0.213 x4
Re 0.093 0.319 0.949 x4
Re 0.093 0.397 0.164 x4
Re 0.140 0.146 0.111 x4
Re 0.453 0.144 0.553 x4
Pb 0.283 0.244 0.804 x4
Pb 0.417 0.234 0.080 x4
S 0.048 0.043 0.656 x4
S 0.048 0.453 0.512 x4
S 0.132 0.226 0.303 x4
S 0.133 0.082 0.915 x4
S 0.152 0.406 0.774 x4
S 0.220 0.349 0.062 x4
S 0.266 0.018 0.158 x4
S 0.329 0.008 0.505 x4
S 0.373 0.347 0.601 x4
S 0.436 0.404 0.891 x4
S 0.460 0.227 0.361 x4
S 0.461 0.080 0.749 x4

Theoretical PXRD pattern of Re3PbSe6 for Cu Kα (weighted mean of Kα1 and Kα2), from a cell relaxed with PBE.
Intensities are scaled so that the largest is 100.

Principal peaks in the range 10 to 80 degrees two-theta, by angle:
2theta	I_rel	h k l
10.36	46.7	2 0 0
12.53	100.0	1 1 1
14.27	13.3	0 0 2
19.28	9.5	3 1 -1
31.04	8.9	4 2 -2
34.02	8.9	3 1 -4
38.26	10.5	3 3 3
40.74	8.6	3 1 5
45.92	10.6	4 2 -5
46.20	7.9	7 3 0

Cell and atoms:
a b c (Å): 17.078 9.963 12.417
angles (deg): 90.00 90.37 90.00
Space group Cc (No. 9)
Asymmetric unit:
Re 0.000 0.105 0.000 x4
Re 0.088 0.394 0.157 x4
Re 0.089 0.316 0.952 x4
Re 0.134 0.147 0.107 x4
Re 0.454 0.150 0.551 x4
Re 0.499 0.318 0.708 x4
Pb 0.179 0.230 0.586 x4
Pb 0.307 0.249 0.855 x4
Se 0.042 0.054 0.650 x4
Se 0.042 0.451 0.505 x4
Se 0.130 0.229 0.301 x4
Se 0.132 0.077 0.910 x4
Se 0.155 0.406 0.770 x4
Se 0.218 0.351 0.059 x4
Se 0.258 0.013 0.162 x4
Se 0.328 0.024 0.495 x4
Se 0.371 0.355 0.602 x4
Se 0.441 0.401 0.890 x4
Se 0.455 0.078 0.747 x4
Se 0.459 0.228 0.356 x4

Theoretical PXRD pattern of Rh3Pb for Cu Kα (weighted mean of Kα1 and Kα2), from a cell relaxed with PBE.
Intensities are scaled so that the largest is 100.

Principal peaks in the range 10 to 80 degrees two-theta, by angle:
2theta	I_rel	h k l
22.91	3.2	0 0 2
24.53	11.0	1 0 1
30.81	3.2	1 1 0
38.74	100.0	1 1 2
44.13	34.6	2 0 0
46.81	14.6	0 0 4
51.13	3.5	2 1 1
64.17	12.2	2 2 0
66.28	20.5	2 0 4
77.55	26.3	3 1 2

Cell and atoms:
a b c (Å): 4.105 4.105 7.763
angles (deg): 90.00 90.00 90.00
Space group I4/mmm (No. 139)
Asymmetric unit:
Rh 0.000 0.000 0.000 x2
Rh 0.000 0.500 0.250 x4
Pb 0.000 0.000 0.500 x2

Theoretical PXRD pattern of RhPb2 for Cu Kα (weighted mean of Kα1 and Kα2), from a cell relaxed with PBE.
Intensities are scaled so that the largest is 100.

Principal peaks in the range 10 to 80 degrees two-theta, by angle:
2theta	I_rel	h k l
30.05	15.5	0 0 2
33.03	100.0	2 1 1
35.47	18.9	1 1 2
40.25	30.6	2 0 2
41.94	26.6	3 1 0
55.28	23.9	2 1 3
57.92	21.3	4 1 1
66.13	19.6	3 3 2
74.79	10.3	4 1 3
77.07	9.1	5 2 1

Cell and atoms:
a b c (Å): 6.813 6.813 5.948
angles (deg): 90.00 90.00 90.00
Space group I4/mcm (No. 140)
Asymmetric unit:
Rh 0.000 0.000 0.250 x4
Pb 0.167 0.333 0.000 x8